# Ca5Tl
Simulated X-ray diffraction stick pattern, Cu Kα X-rays. Input: the GGA-PBE geometry in Alexandria.
No peak broadening, texture or thermal motion is included.

Largest 10 diffraction maxima, in order of falling intensity, 10° ≤ 2θ ≤ 80°:
- d 2.974, 2θ = 30.04°, I = 100.0, hkl 1 1 3
- d 8.765, 2θ = 10.09°, I = 49.9, hkl 0 0 2
- d 2.919, 2θ = 30.63°, I = 46.6, hkl 2 0 0
- d 1.696, 2θ = 54.09°, I = 37.2, hkl 3 1 3
- d 4.855, 2θ = 18.27°, I = 29.1, hkl 1 0 2
- d 1.728, 2θ = 52.98°, I = 18.9, hkl 2 2 0
- d 3.390, 2θ = 26.29°, I = 18.4, hkl 1 1 1
- d 5.832, 2θ = 15.19°, I = 17.4, hkl 1 0 0
- d 2.064, 2θ = 43.87°, I = 16.2, hkl 2 0 6
- d 4.167, 2θ = 21.32°, I = 14.7, hkl 0 1 1

Cell lengths 5.8321, 4.2898, 17.5290 Å; angles 90.00, 90.00, 90.00 degrees
Space group Amm2 (No. 38)
Symmetry-distinct sites (fractional):
Ca 0.0000 0.0000 0.0000 [2 per cell]
Ca 0.0000 0.0000 0.3017 [2 per cell]
Ca 0.5000 0.0000 0.1511 [2 per cell]
Ca 0.5000 0.0000 0.4827 [2 per cell]
Ca 0.5000 0.0000 0.8196 [2 per cell]
Tl 0.0000 0.0000 0.6508 [2 per cell]